Record 1
Computed powder X-ray diffraction pattern
Compound: ThTlAg2Se4
Radiation: Cu Kα (λ = 1.5418 Å)
Structure: DFT lattice parameters and positions (GGA-PBE)

Main lines, by angle (2θ = 15–90°):
2theta	I_rel
17.06	16.9
28.28	100.0
32.78	22.7
33.65	21.3
34.52	72.0
44.53	30.0
45.88	27.6
48.36	13.3
49.12	17.0
58.10	12.1

Structure:
Unit cell a=6.545 b=6.545 c=6.545 alpha=113.46 beta=109.78 gamma=105.28
Atoms (fractional coordinates):
Th (0.000, 0.000, 0.000)
Tl (0.500, 0.500, 0.000)
Ag (0.185, 0.685, 0.500)
Ag (0.815, 0.315, 0.500)
Se (0.039, 0.041, 0.465)
Se (0.423, 0.959, 0.998)
Se (0.577, 0.574, 0.535)
Se (0.961, 0.426, 0.002)

***

Record 2
Computed powder X-ray diffraction pattern
Compound: MnNb4S8
Radiation: Cu Kα (λ = 1.5418 Å)
Structure: DFT lattice parameters and positions (GGA-PBE)

Main lines, by angle (2θ = 15–90°):
2theta	I_rel
30.72	36.4
31.58	19.2
34.05	64.5
37.85	12.3
42.69	100.0
54.61	49.6
56.77	13.3
65.94	8.9
71.69	19.8
85.38	23.8

Structure:
Unit cell a=6.722 b=6.722 c=12.352 alpha=90.00 beta=90.00 gamma=120.00
Atoms (fractional coordinates):
Mn (0.000, 0.000, 0.000)
Mn (0.000, 0.000, 0.500)
Nb (0.000, 0.000, 0.250)
Nb (0.000, 0.000, 0.750)
Nb (0.012, 0.506, 0.250)
Nb (0.494, 0.506, 0.250)
Nb (0.494, 0.988, 0.250)
Nb (0.506, 0.012, 0.750)
Nb (0.506, 0.494, 0.750)
Nb (0.988, 0.494, 0.750)
S (0.168, 0.336, 0.624)
S (0.168, 0.336, 0.876)
S (0.168, 0.832, 0.624)
S (0.168, 0.832, 0.876)
S (0.333, 0.667, 0.120)
S (0.333, 0.667, 0.380)
S (0.336, 0.168, 0.124)
S (0.336, 0.168, 0.376)
S (0.664, 0.832, 0.624)
S (0.664, 0.832, 0.876)
S (0.667, 0.333, 0.620)
S (0.667, 0.333, 0.880)
S (0.832, 0.168, 0.124)
S (0.832, 0.168, 0.376)
S (0.832, 0.664, 0.124)
S (0.832, 0.664, 0.376)

***

Record 3
Computed powder X-ray diffraction pattern
Compound: PmPrDy2Tm2
Radiation: Cu Kα (λ = 1.5418 Å)
Structure: DFT lattice parameters and positions (GGA-PBE)

Main lines, by angle (2θ = 15–90°):
2theta	I_rel
27.87	42.9
30.22	100.0
33.49	36.0
34.04	44.9
36.55	57.8
39.96	13.9
46.15	14.4
54.40	28.7
61.72	26.4
63.20	15.1

Structure:
Unit cell a=6.980 b=16.056 c=3.548 alpha=90.00 beta=90.00 gamma=90.00
Atoms (fractional coordinates):
Pm (0.000, 0.000, 0.000)
Pm (0.500, 0.500, 0.500)
Pr (0.000, 0.500, 0.500)
Pr (0.500, 0.000, 0.000)
Dy (0.249, 0.159, 0.500)
Dy (0.251, 0.659, 0.000)
Dy (0.749, 0.341, 0.000)
Dy (0.751, 0.841, 0.500)
Tm (0.250, 0.344, 0.000)
Tm (0.250, 0.844, 0.500)
Tm (0.750, 0.156, 0.500)
Tm (0.750, 0.656, 0.000)